Simulated X-ray diffraction stick pattern
Compound: SrCuSO
Radiation: Cu Kα
Structure: DFT lattice parameters and positions (PBE)

Largest 6 diffraction maxima, by angle, 2θ = 10–90°:
d_spacing, 2θ/deg, intensity, h k l
3.735, 23.82, 76, 1 0 1
2.703, 33.15, 82, 1 0 5
2.592, 34.60, 47, 1 1 2
2.348, 38.34, 100, 1 1 4
1.904, 47.77, 62, 2 0 0
1.791, 51.00, 66, 1 1 8

Atomic structure:
Unit cell a=3.808 b=3.808 c=19.181 alpha=90.00 beta=90.00 gamma=90.00
Space group I4/mmm (No. 139)
Asymmetric unit:
1 Sr 0.000 0.000 0.081 (multiplicity 4)
2 Cu 0.000 0.500 0.250 (multiplicity 4)
3 S 0.000 0.000 0.322 (multiplicity 4)
4 O 0.000 0.500 0.000 (multiplicity 4)